No. 1
The following is a simulated powder diffraction line list of Sr2UNiO6. It was derived from a crystal structure in the Materials Project, relaxed with PBE+U, using CuKα.
Intensities are scaled so that the largest is 100.

Structural model:
abc: 5.838 5.836 10.047
angles: 90.00 125.13 90.00
Sites, in units of the cell vectors:
Sr: 0.239 0.027 0.248
Sr: 0.239 0.473 0.748
Sr: 0.761 0.527 0.252
Sr: 0.761 0.973 0.752
U: 0.500 0.000 0.000
U: 0.500 0.500 0.500
Ni: 0.000 0.000 0.500
Ni: 0.000 0.500 0.000
O: 0.185 0.222 0.961
O: 0.185 0.278 0.461
O: 0.237 0.725 0.959
O: 0.237 0.775 0.459
O: 0.328 0.015 0.752
O: 0.328 0.485 0.252
O: 0.672 0.515 0.748
O: 0.672 0.985 0.248
O: 0.763 0.225 0.541
O: 0.763 0.275 0.041
O: 0.815 0.722 0.539
O: 0.815 0.778 0.039

Top 10 peaks for 10° ≤ 2θ ≤ 90°, sorted by position:
Position (°2θ)  d/Å  I (rel.)  index
18.6  4.763  32.8  0 1 1
30.6  2.919  100.0  1 1 1
30.8  2.905  50.4  1 1 -3
36.1  2.491  14.8  2 1 -1
43.9  2.064  28.5  2 2 -2
44.1  2.054  14.1  0 0 4
54.4  1.687  17.1  3 1 -1
54.5  1.683  19.5  1 3 1
54.6  1.680  22.6  3 1 -5
63.8  1.459  16.4  4 0 -4

---

No. 2
The following is a simulated powder diffraction line list of Li9Mn7O16. It was derived from a crystal structure in the Materials Project, relaxed with PBE+U, using CuKα.
Intensities are scaled so that the largest is 100.

Structural model:
abc: 5.097 6.481 9.388
angles: 97.79 99.53 96.66
Sites, in units of the cell vectors:
Li: 0.000 0.000 0.000
Li: 0.234 0.695 0.825
Li: 0.235 0.938 0.582
Li: 0.245 0.435 0.060
Li: 0.247 0.190 0.310
Li: 0.753 0.810 0.690
Li: 0.755 0.565 0.940
Li: 0.765 0.062 0.418
Li: 0.766 0.305 0.175
Mn: 0.000 0.500 0.500
Mn: 0.009 0.753 0.235
Mn: 0.492 0.374 0.629
Mn: 0.498 0.126 0.886
Mn: 0.502 0.874 0.114
Mn: 0.508 0.626 0.371
Mn: 0.991 0.247 0.765
O: 0.132 0.988 0.784
O: 0.136 0.234 0.529
O: 0.146 0.489 0.279
O: 0.156 0.728 0.033
O: 0.356 0.384 0.847
O: 0.362 0.640 0.592
O: 0.388 0.893 0.314
O: 0.396 0.141 0.076
O: 0.604 0.859 0.924
O: 0.612 0.107 0.686
O: 0.638 0.360 0.408
O: 0.644 0.616 0.153
O: 0.844 0.272 0.967
O: 0.854 0.511 0.721
O: 0.864 0.766 0.471
O: 0.868 0.012 0.216

Top 10 peaks for 10° ≤ 2θ ≤ 90°, sorted by position:
Position (°2θ)  d/Å  I (rel.)  index
18.2  4.871  100.0  0 1 1
33.7  2.661  17.2  1 1 -3
36.1  2.488  11.6  2 0 0
36.4  2.471  11.8  1 -2 2
40.3  2.239  34.1  1 0 -4
44.2  2.051  27.5  2 1 1
44.4  2.041  27.0  1 -3 1
61.0  1.519  8.1  3 1 -3
61.4  1.510  8.4  -2 3 3
61.6  1.506  15.6  1 1 5

---

No. 3
The following is a simulated powder diffraction line list of SrEuMn4O12. It was derived from a crystal structure in the Materials Project, relaxed with PBE+U, using CuKα.
Intensities are scaled so that the largest is 100.

Structural model:
abc: 5.839 5.839 8.301
angles: 90.00 90.00 90.00
Sites, in units of the cell vectors:
Sr: 0.000 0.000 0.000
Eu: 0.500 0.500 0.500
Mn: 0.000 0.500 0.248
Mn: 0.000 0.500 0.752
Mn: 0.500 0.000 0.248
Mn: 0.500 0.000 0.752
O: 0.000 0.500 0.000
O: 0.000 0.500 0.500
O: 0.253 0.253 0.254
O: 0.253 0.253 0.746
O: 0.253 0.747 0.254
O: 0.253 0.747 0.746
O: 0.500 0.000 0.000
O: 0.500 0.000 0.500
O: 0.747 0.253 0.254
O: 0.747 0.253 0.746
O: 0.747 0.747 0.254
O: 0.747 0.747 0.746

Top 10 peaks for 10° ≤ 2θ ≤ 90°, sorted by position:
Position (°2θ)  d/Å  I (rel.)  index
18.6  4.776  81.8  1 0 1
30.6  2.925  100.0  2 0 0
35.9  2.500  15.8  1 0 3
36.1  2.491  31.4  2 1 1
43.6  2.075  16.5  0 0 4
43.9  2.064  32.4  2 2 0
47.9  1.899  13.9  2 1 3
54.2  1.691  13.2  2 0 4
54.4  1.687  26.1  3 1 2
63.6  1.464  18.6  2 2 4